Structure and simulated X-ray powder pattern of Sm3SiTe6 (DFT lattice parameters and positions (PBE); CuKα).

The 6 most intense peaks (2θ from 10° to 90°), in order of rising 2θ:
2theta	I (rel.)
22.27	37.7
30.73	100.0
33.34	66.2
34.02	39.8
37.04	35.0
44.47	22.3

Structural model:
```
Sm3SiTe6
1.0
6.112 -7.554 0.000
6.112 7.554 0.000
0.000 0.000 7.358
Sm Si Te
6 2 12
Direct
0.094 0.906 0.500 Sm
0.224 0.416 0.387 Sm
0.416 0.224 0.887 Sm
0.584 0.776 0.387 Sm
0.776 0.584 0.887 Sm
0.906 0.094 0.000 Sm
0.297 0.703 0.846 Si
0.703 0.297 0.346 Si
0.065 0.597 0.669 Te
0.124 0.202 0.695 Te
0.202 0.124 0.195 Te
0.280 0.720 0.209 Te
0.403 0.935 0.669 Te
0.460 0.540 0.703 Te
0.540 0.460 0.203 Te
0.597 0.065 0.169 Te
0.720 0.280 0.709 Te
0.798 0.876 0.695 Te
0.876 0.798 0.195 Te
0.935 0.403 0.169 Te
```